Record 1
For CaV2Cu2O8, a DFT-relaxed cell (GGA+U, the Materials Project) gives the computed powder diffraction line list in this record (Cu Kα (λ = 1.5418 Å)).
Neutral-atom scattering factors, no anomalous dispersion.

abc: 6.6129 8.7878 12.3606
angles: 90.00 93.20 90.00
Sites, in units of the cell vectors:
Ca 0.1348 0.1672 0.4633
Ca 0.1348 0.3328 0.9633
Ca 0.8652 0.6672 0.0367
Ca 0.8652 0.8328 0.5367
V 0.0925 0.0371 0.1590
V 0.0925 0.4629 0.6590
V 0.3943 0.5910 0.1410
V 0.3943 0.9090 0.6410
V 0.6057 0.0910 0.3590
V 0.6057 0.4090 0.8590
V 0.9075 0.5371 0.3410
V 0.9075 0.9629 0.8410
Cu 0.2380 0.6832 0.8520
Cu 0.2380 0.8168 0.3520
Cu 0.3938 0.0522 0.8665
Cu 0.3938 0.4478 0.3665
Cu 0.6062 0.5522 0.6335
Cu 0.6062 0.9478 0.1335
Cu 0.7620 0.1832 0.6480
Cu 0.7620 0.3168 0.1480
O 0.0192 0.2251 0.1227
O 0.0192 0.2749 0.6227
O 0.1031 0.0892 0.8870
O 0.1031 0.4108 0.3870
O 0.1220 0.0185 0.2992
O 0.1220 0.4815 0.7992
O 0.1945 0.5846 0.0427
O 0.1945 0.9154 0.5427
O 0.3224 0.5028 0.6038
O 0.3224 0.9972 0.1038
O 0.3302 0.6267 0.2789
O 0.3302 0.8733 0.7789
O 0.4400 0.2332 0.3954
O 0.4400 0.2668 0.8954
O 0.4969 0.5870 0.8668
O 0.4969 0.9130 0.3668
O 0.5031 0.0870 0.6332
O 0.5031 0.4130 0.1332
O 0.5600 0.7332 0.1046
O 0.5600 0.7668 0.6046
O 0.6698 0.1267 0.2211
O 0.6698 0.3733 0.7211
O 0.6776 0.0028 0.8962
O 0.6776 0.4972 0.3962
O 0.8055 0.0846 0.4573
O 0.8055 0.4154 0.9573
O 0.8780 0.5185 0.2008
O 0.8780 0.9815 0.7008
O 0.8969 0.5892 0.6130
O 0.8969 0.9108 0.1130
O 0.9808 0.7251 0.3773
O 0.9808 0.7749 0.8773

Main lines, in order of rising 2θ (5 to 70 degrees two-theta):
20.23°, rel. 595; 22.65°, rel. 625; 25.61°, rel. 283; 28.75°, rel. 267; 28.93°, rel. 1000; 29.43°, rel. 816; 30.18°, rel. 313; 31.37°, rel. 659; 32.24°, rel. 498; 33.89°, rel. 296

Record 2
For CaCu3W4O12, a DFT-relaxed cell (GGA+U, the Materials Project) gives the computed powder diffraction line list in this record (Cu Kα (λ = 1.5418 Å)).
Neutral-atom scattering factors, no anomalous dispersion.

abc: 6.6941 6.6998 6.7066
angles: 109.43 109.50 109.37
Sites, in units of the cell vectors:
Ca 0.0000 0.0000 0.0000
Cu 0.0000 0.5000 0.5000
Cu 0.5000 0.0000 0.5000
Cu 0.5000 0.5000 0.0000
W 0.0000 0.0000 0.5000
W 0.0000 0.5000 0.0000
W 0.5000 0.0000 0.0000
W 0.5000 0.5000 0.5000
O 0.1164 0.2837 0.8090
O 0.1770 0.4761 0.2990
O 0.1765 0.8772 0.7013
O 0.2968 0.1753 0.4743
O 0.2979 0.8219 0.1179
O 0.4716 0.2820 0.1679
O 0.5284 0.7180 0.8321
O 0.7021 0.1781 0.8821
O 0.7032 0.8247 0.5257
O 0.8235 0.1228 0.2987
O 0.8230 0.5239 0.7010
O 0.8836 0.7163 0.1910

Main lines, in order of rising 2θ (5 to 70 degrees two-theta):
22.98°, rel. 367; 32.72°, rel. 1000; 40.35°, rel. 49; 46.95°, rel. 238; 52.87°, rel. 118; 52.96°, rel. 53; 58.36°, rel. 265; 58.47°, rel. 189; 68.49°, rel. 45; 68.60°, rel. 66

Record 3
For Ca2CuWO6, a DFT-relaxed cell (GGA+U, the Materials Project) gives the computed powder diffraction line list in this record (Cu Kα (λ = 1.5418 Å)).
Neutral-atom scattering factors, no anomalous dispersion.

abc: 5.5096 5.7216 9.4007
angles: 90.00 125.63 90.00
Sites, in units of the cell vectors:
Ca 0.2339 0.0573 0.2472
Ca 0.2339 0.4427 0.7472
Ca 0.7661 0.5573 0.2528
Ca 0.7661 0.9427 0.7528
Cu 0.0000 0.0000 0.5000
Cu 0.0000 0.5000 0.0000
W 0.5000 0.0000 0.0000
W 0.5000 0.5000 0.5000
O 0.1668 0.1890 0.9538
O 0.1668 0.3110 0.4538
O 0.2611 0.7186 0.9462
O 0.2611 0.7814 0.4462
O 0.3495 0.0326 0.7540
O 0.3495 0.4674 0.2540
O 0.6505 0.5326 0.7460
O 0.6505 0.9674 0.2460
O 0.7389 0.2186 0.5538
O 0.7389 0.2814 0.0538
O 0.8332 0.6890 0.5462
O 0.8332 0.8110 0.0462

Main lines, in order of rising 2θ (5 to 70 degrees two-theta):
19.38°, rel. 389; 19.87°, rel. 345; 22.40°, rel. 720; 23.28°, rel. 305; 31.27°, rel. 356; 32.49°, rel. 1000; 32.58°, rel. 686; 45.72°, rel. 384; 56.45°, rel. 245; 58.08°, rel. 310

Record 4
For Ca2CuWO6, a DFT-relaxed cell (GGA+U, the Materials Project) gives the computed powder diffraction line list in this record (Cu Kα (λ = 1.5418 Å)).
Neutral-atom scattering factors, no anomalous dispersion.

abc: 5.5587 5.5617 5.6117
angles: 60.51 60.51 88.83
Sites, in units of the cell vectors:
Ca 0.0000 0.0000 0.0000
Ca 0.4946 0.5101 0.9970
Cu 0.1984 0.7051 0.5470
W 0.6886 0.1963 0.5587
O 0.4195 0.4224 0.5780
O 0.4272 0.9261 0.5961
O 0.4355 0.9408 0.0431
O 0.9019 0.4121 0.0903
O 0.9130 0.4319 0.5789
O 0.9248 0.9375 0.5750

Main lines, in order of rising 2θ (5 to 70 degrees two-theta):
19.18°, rel. 331; 19.51°, rel. 343; 21.86°, rel. 412; 22.39°, rel. 387; 22.85°, rel. 340; 31.08°, rel. 335; 31.86°, rel. 1000; 32.21°, rel. 639; 44.57°, rel. 235; 46.69°, rel. 228

Record 5
For Ca2CuWO6, a DFT-relaxed cell (GGA+U, the Materials Project) gives the computed powder diffraction line list in this record (Cu Kα (λ = 1.5418 Å)).
Neutral-atom scattering factors, no anomalous dispersion.

abc: 5.5602 5.5602 5.6117
angles: 119.49 119.49 88.83
Sites, in units of the cell vectors:
Ca 0.2466 0.7534 0.0000
Ca 0.7534 0.2466 0.0000
Cu 0.0482 0.0482 0.5470
W 0.5575 0.5575 0.5587
O 0.3276 0.3276 0.5789
O 0.3309 0.8272 0.5780
O 0.3430 0.3430 0.0903
O 0.8118 0.8118 0.0430
O 0.8233 0.8233 0.5961
O 0.8272 0.3309 0.5780

Main lines, in order of rising 2θ (5 to 70 degrees two-theta):
19.18°, rel. 331; 19.51°, rel. 340; 21.86°, rel. 410; 22.39°, rel. 386; 22.85°, rel. 340; 31.08°, rel. 334; 31.86°, rel. 1000; 32.21°, rel. 640; 44.57°, rel. 236; 46.69°, rel. 228

Record 6
For CaEuDyNiO6, a DFT-relaxed cell (GGA+U, the Materials Project) gives the computed powder diffraction line list in this record (Cu Kα (λ = 1.5418 Å)).
Neutral-atom scattering factors, no anomalous dispersion.

abc: 5.6466 5.6466 5.6466
angles: 60.00 60.00 60.00
Sites, in units of the cell vectors:
Ca 0.0000 0.0000 0.0000
Eu 0.5000 0.5000 0.5000
Dy 0.2500 0.2500 0.2500
Ni 0.7500 0.7500 0.7500
O 0.5195 0.5195 0.9805
O 0.5195 0.9805 0.5195
O 0.5195 0.9805 0.9805
O 0.9805 0.5195 0.5195
O 0.9805 0.5195 0.9805
O 0.9805 0.9805 0.5195

Main lines, in order of rising 2θ (5 to 70 degrees two-theta):
19.25°, rel. 268; 22.27°, rel. 37; 31.69°, rel. 1000; 37.35°, rel. 187; 45.43°, rel. 313; 49.77°, rel. 96; 56.45°, rel. 383; 60.22°, rel. 60; 66.20°, rel. 185; 69.66°, rel. 59

Record 7
For CaDyFe4O12, a DFT-relaxed cell (GGA+U, the Materials Project) gives the computed powder diffraction line list in this record (Cu Kα (λ = 1.5418 Å)).
Neutral-atom scattering factors, no anomalous dispersion.

abc: 7.5976 5.3404 5.3404
angles: 89.39 90.00 90.00
Sites, in units of the cell vectors:
Ca 0.0000 0.0000 0.0000
Dy 0.5000 0.4572 0.4572
Fe 0.2488 0.4853 0.9751
Fe 0.2488 0.9751 0.4853
Fe 0.7512 0.4853 0.9751
Fe 0.7512 0.9751 0.4853
O 0.0000 0.5182 0.9498
O 0.0000 0.9498 0.5182
O 0.2318 0.2608 0.2608
O 0.2485 0.2013 0.7606
O 0.2485 0.7606 0.2013
O 0.2957 0.6878 0.6878
O 0.5000 0.0269 0.4607
O 0.5000 0.4607 0.0269
O 0.7043 0.6878 0.6878
O 0.7515 0.2013 0.7606
O 0.7515 0.7606 0.2013
O 0.7682 0.2608 0.2608

Main lines, in order of rising 2θ (5 to 70 degrees two-theta):
11.65°, rel. 282; 16.60°, rel. 266; 20.33°, rel. 1000; 33.37°, rel. 431; 33.56°, rel. 946; 39.39°, rel. 332; 47.91°, rel. 405; 48.47°, rel. 194; 59.76°, rel. 365; 60.12°, rel. 185